# LaCu2Ge2
Simulated PXRD pattern, Cu Kα X-rays. Input: DFT lattice parameters and positions (PBE).
Intensities are scaled so that the largest is 100.

Crystal structure
Lattice parameters (Å, degrees): 4.2349 4.2349 10.2165 90.00 90.00 90.00
Element x y z (fractional)
La  0.0000  0.0000  0.0000
La  0.5000  0.5000  0.5000
Cu  0.0000  0.5000  0.2500
Cu  0.0000  0.5000  0.7500
Cu  0.5000  0.0000  0.2500
Cu  0.5000  0.0000  0.7500
Ge  0.0000  0.0000  0.3752
Ge  0.0000  0.0000  0.6248
Ge  0.5000  0.5000  0.1248
Ge  0.5000  0.5000  0.8752

Main lines, in order of rising 2θ (2θ = 5–70°):
2θ (°)	I_rel	(hkl)
29.84	22	1 1 0
33.77	83	1 0 3
34.72	100	1 1 2
42.70	67	2 0 0
46.75	13	1 1 4
49.53	28	1 0 5
55.52	40	2 1 3
61.98	21	2 2 0
62.78	17	1 1 6
67.42	22	2 1 5

=====

# Hf5NiSb3
Simulated PXRD pattern, Cu Kα X-rays. Input: DFT lattice parameters and positions (PBE).
Intensities are scaled so that the largest is 100.

Crystal structure
Lattice parameters (Å, degrees): 8.5762 8.5762 5.7306 90.00 90.00 120.00
Element x y z (fractional)
Hf  0.0000  0.2572  0.2500
Hf  0.0000  0.7428  0.7500
Hf  0.2572  0.0000  0.2500
Hf  0.2572  0.2572  0.7500
Hf  0.3333  0.6667  0.0000
Hf  0.3333  0.6667  0.5000
Hf  0.6667  0.3333  0.0000
Hf  0.6667  0.3333  0.5000
Hf  0.7428  0.0000  0.7500
Hf  0.7428  0.7428  0.2500
Ni  0.0000  0.0000  0.0000
Ni  0.0000  0.0000  0.5000
Sb  0.0000  0.3875  0.7500
Sb  0.0000  0.6125  0.2500
Sb  0.3875  0.0000  0.7500
Sb  0.3875  0.3875  0.2500
Sb  0.6125  0.0000  0.2500
Sb  0.6125  0.6125  0.7500

Main lines, in order of rising 2θ (2θ = 5–70°):
2θ (°)	I_rel	(hkl)
31.22	10	0 0 2
31.88	20	2 1 0
35.61	90	2 1 1
36.29	74	3 0 0
37.76	100	1 1 2
46.87	11	3 1 1
53.37	28	2 2 2
56.33	16	3 2 1
58.44	22	2 1 3
59.30	13	4 0 2

=====

# Tb3CuSnS7
Simulated PXRD pattern, Cu Kα X-rays. Input: DFT lattice parameters and positions (PBE).
Intensities are scaled so that the largest is 100.

Crystal structure
Lattice parameters (Å, degrees): 9.8190 9.8190 6.2132 90.00 90.00 120.00
Element x y z (fractional)
Tb  0.1491  0.7899  0.0000
Tb  0.2101  0.3592  0.0000
Tb  0.3592  0.1491  0.5000
Tb  0.6408  0.8509  0.0000
Tb  0.7899  0.6408  0.5000
Tb  0.8509  0.2101  0.5000
Cu  0.0000  0.0000  0.4010
Cu  0.0000  0.0000  0.9010
Sn  0.3333  0.6667  0.5658
Sn  0.6667  0.3333  0.0658
S  0.0825  0.5192  0.7468
S  0.1134  0.8521  0.4271
S  0.1479  0.2612  0.4271
S  0.2612  0.1134  0.9271
S  0.3333  0.6667  0.1801
S  0.4366  0.9175  0.7468
S  0.4808  0.5634  0.7468
S  0.5192  0.4366  0.2468
S  0.5634  0.0825  0.2468
S  0.6667  0.3333  0.6801
S  0.7388  0.8866  0.4271
S  0.8521  0.7388  0.9271
S  0.8866  0.1479  0.9271
S  0.9175  0.4808  0.2468

Main lines, in order of rising 2θ (2θ = 5–70°):
2θ (°)	I_rel	(hkl)
20.89	17	2 0 0
25.38	100	2 0 1
28.74	20	0 0 2
35.80	28	2 0 2
36.61	53	2 2 0
40.38	18	2 1 2
45.07	19	4 0 1
47.19	24	2 2 2
48.92	28	2 0 3
59.40	17	2 4 1

=====

# CsFe2Sb2
Simulated PXRD pattern, Cu Kα X-rays. Input: DFT lattice parameters and positions (PBE).
Intensities are scaled so that the largest is 100.

Crystal structure
Lattice parameters (Å, degrees): 3.6898 3.6898 18.8912 90.00 90.00 90.00
Element x y z (fractional)
Cs  0.0000  0.0000  0.0000
Cs  0.5000  0.5000  0.5000
Fe  0.0000  0.5000  0.2500
Fe  0.0000  0.5000  0.7500
Fe  0.5000  0.0000  0.2500
Fe  0.5000  0.0000  0.7500
Sb  0.0000  0.0000  0.3485
Sb  0.0000  0.0000  0.6515
Sb  0.5000  0.5000  0.1515
Sb  0.5000  0.5000  0.8485

Main lines, in order of rising 2θ (2θ = 5–70°):
2θ (°)	I_rel	(hkl)
9.36	12	0 0 2
28.03	100	1 0 3
28.35	8	0 0 6
34.37	14	1 1 0
35.70	11	1 1 2
39.46	10	1 1 4
45.13	41	1 1 6
49.40	19	2 0 0
49.99	13	1 0 9
57.76	26	2 1 3

=====

Please write out number 2 again, unchanged.
# Hf5NiSb3
Simulated PXRD pattern, Cu Kα X-rays. Input: DFT lattice parameters and positions (PBE).
Intensities are scaled so that the largest is 100.

Crystal structure
Lattice parameters (Å, degrees): 8.5762 8.5762 5.7306 90.00 90.00 120.00
Element x y z (fractional)
Hf  0.0000  0.2572  0.2500
Hf  0.0000  0.7428  0.7500
Hf  0.2572  0.0000  0.2500
Hf  0.2572  0.2572  0.7500
Hf  0.3333  0.6667  0.0000
Hf  0.3333  0.6667  0.5000
Hf  0.6667  0.3333  0.0000
Hf  0.6667  0.3333  0.5000
Hf  0.7428  0.0000  0.7500
Hf  0.7428  0.7428  0.2500
Ni  0.0000  0.0000  0.0000
Ni  0.0000  0.0000  0.5000
Sb  0.0000  0.3875  0.7500
Sb  0.0000  0.6125  0.2500
Sb  0.3875  0.0000  0.7500
Sb  0.3875  0.3875  0.2500
Sb  0.6125  0.0000  0.2500
Sb  0.6125  0.6125  0.7500

Main lines, in order of rising 2θ (2θ = 5–70°):
2θ (°)	I_rel	(hkl)
31.22	10	0 0 2
31.88	20	2 1 0
35.61	90	2 1 1
36.29	74	3 0 0
37.76	100	1 1 2
46.87	11	3 1 1
53.37	28	2 2 2
56.33	16	3 2 1
58.44	22	2 1 3
59.30	13	4 0 2

=====

Question: What is the formula in the first record?
Answer: LaCu2Ge2

=====

Question: What is the formula in the first record?
Answer: LaCu2Ge2